Diffraction record for VNiPt2. The powder XRD pattern is calculated, not measured: it uses DFT lattice parameters and positions (GGA-PBE) and Cu Kα.
Neutral-atom scattering factors, no anomalous dispersion.

Principal peaks in the range 2θ from 10° to 80°, low angle first:
(hkl), two_theta, d (Å), Rel. int.
0 0 1, 19.0, 4.682, 7
1 0 1, 28.0, 3.184, 37
0 2 0, 33.1, 2.709, 14
0 0 2, 38.4, 2.343, 25
2 0 0, 41.6, 2.171, 26
1 2 1, 43.9, 2.063, 100
2 2 0, 54.1, 1.694, 7
2 0 2, 57.9, 1.593, 15
0 2 3, 69.5, 1.352, 11
3 2 1, 77.5, 1.232, 19

Crystal structure
a = 4.342 Å, b = 5.419 Å, c = 4.682 Å
α = 90.00°, β = 90.00°, γ = 90.00°
Space group Pmmn (No. 59, origin choice 2)
Asymmetric unit:
V (0.250, 0.250, 0.157) x2
Ni (0.250, 0.750, 0.164) x2
Pt (0.250, 0.001, 0.681) x4